Diffraction record for Na3TbBr6. The PXRD pattern is theoretical, not measured: it uses a crystal structure in OQMD, relaxed with PBE and a wavelength of 1.5418 Å.
Neutral-atom scattering factors, no anomalous dispersion.

Top 6 peaks for 2θ = 10–90°, in order of falling intensity:
hkl  d/Å  I (rel.)
2 -1 2  3.219  100
1 0 1  5.744  58
1 1 4  2.469  52
3 0 0  2.122  36
1 1 6  1.902  22
2 0 3  2.588  17

Atomic structure:
```
data_Na3TbBr6
_cell_length_a 7.3497
_cell_length_b 7.3497
_cell_length_c 13.3385
_cell_angle_alpha 90.00
_cell_angle_beta 90.00
_cell_angle_gamma 120.00
_symmetry_space_group_name_H-M 'P -3 1 c'
_symmetry_Int_Tables_number 163
_symmetry_space_group_name_Hall '-P 3 2c'
loop_
_atom_site_label
_atom_site_fract_x
_atom_site_fract_y
_atom_site_fract_z
Na1 0.0000 0.0000 0.2500
Na2 0.3333 0.6667 0.0357
Tb1 0.3333 0.6667 0.7500
Br1 0.0364 0.3501 0.8758
```